Computed powder XRD pattern
Compound: CoSe2S
Radiation: Cu Kα
Structure: a DFT-relaxed cell (GGA-PBE, Alexandria)

Atomic structure:
```
data_CoSe2S
_chemical_formula_sum 'Co2 Se4 S2'
_symmetry_space_group_name_H-M 'P 1'
_symmetry_Int_Tables_number 1
_symmetry_space_group_name_Hall 'P 1'
_cell_length_a 3.575
_cell_length_b 5.652
_cell_length_c 9.913
_cell_angle_alpha 100.32
_cell_angle_beta 96.46
_cell_angle_gamma 96.88
loop_
_atom_site_label
_atom_site_type_symbol
_atom_site_fract_x
_atom_site_fract_y
_atom_site_fract_z
_atom_site_occupancy
Co1 Co 0.000 0.000 0.000 1
Co2 Co 0.403 0.436 0.991 1
Se1 Se 0.413 0.770 0.869 1
Se2 Se 0.566 0.177 0.141 1
Se3 Se 0.837 0.259 0.850 1
Se4 Se 0.990 0.666 0.122 1
S1 S 0.472 0.630 0.518 1
S2 S 0.931 0.806 0.474 1
```

Largest 10 diffraction maxima, by angle, 15 to 90 degrees two-theta:
(hkl)	2θ (°)	I (rel.)
0 0 2	18.4	61
1 -1 1	29.7	44
-1 1 2	33.6	100
0 2 -2	34.2	55
1 1 1	35.3	61
0 2 -3	38.7	75
-1 1 3	39.6	64
1 1 2	40.6	52
1 -1 4	47.5	56
2 0 -2	52.9	43